# HoSi4Ni2
Calculated powder diffractogram, Cu Kα, 1.54184 Å. Input: a crystal structure in Alexandria, relaxed with GGA-PBE.

Cell and atoms:
Unit cell a=16.776 b=3.905 c=6.326 alpha=90.00 beta=90.00 gamma=90.00
Space group Pnma (No. 62)
One atom of each set of equivalent atoms:
Ho  0.139  0.250  0.041 x4
Si  0.021  0.750  0.130 x4
Si  0.064  0.250  0.523 x4
Si  0.181  0.750  0.706 x4
Si  0.209  0.750  0.304 x4
Ni  0.038  0.750  0.745 x4
Ni  0.209  0.250  0.497 x4

Main lines, sorted by position (10° ≤ 2θ ≤ 90°):
2theta, I/Imax, index
15.0, 221, 1 0 1
25.2, 273, 2 1 0
30.2, 167, 5 0 1
31.3, 192, 4 1 0
38.1, 1000, 2 1 2
39.6, 146, 6 1 0
40.2, 295, 7 0 1
46.5, 222, 0 2 0
56.6, 162, 9 1 1
63.2, 152, 7 2 1

---

# Ho3Si4Ni7
Calculated powder diffractogram, Cu Kα, 1.54184 Å. Input: a crystal structure in Alexandria, relaxed with GGA-PBE.

Cell and atoms:
Unit cell a=14.698 b=3.854 c=8.980 alpha=90.00 beta=126.22 gamma=90.00
Space group C2/m (No. 12)
One atom of each set of equivalent atoms:
Ho  0.000  0.000  0.000 x2
Ho  0.177  0.500  0.672 x4
Si  0.112  0.000  0.828 x4
Si  0.164  0.500  0.279 x4
Ni  0.000  0.000  0.500 x2
Ni  0.006  0.500  0.278 x4
Ni  0.164  0.000  0.422 x4
Ni  0.189  0.500  0.029 x4

Main lines, sorted by position (10° ≤ 2θ ≤ 90°):
2theta, I/Imax, index
24.8, 151, 4 0 -1
25.1, 274, 1 1 -1
32.4, 287, 3 1 0
37.2, 164, 0 0 3
38.0, 1000, 1 1 2
38.2, 181, 6 0 -3
38.6, 540, 5 1 -2
40.2, 203, 4 0 -4
45.9, 235, 6 0 0
47.2, 297, 0 2 0

---

# Ho2Si7Ni12
Calculated powder diffractogram, Cu Kα, 1.54184 Å. Input: a crystal structure in Alexandria, relaxed with GGA-PBE.

Cell and atoms:
Unit cell a=9.1952 b=9.1952 c=3.6861 alpha=90.00 beta=90.00 gamma=120.00
Space group P-6 (No. 174)
One atom of each set of equivalent atoms:
Ho  0.0000  0.0000  0.0000 x1
Ho  0.3333  0.6667  0.5000 x1
Si  0.0621  0.4506  0.0000 x3
Si  0.2638  0.2294  0.5000 x3
Si  0.6667  0.3333  0.0000 x1
Ni  0.0406  0.2814  0.5000 x3
Ni  0.1109  0.7217  0.0000 x3
Ni  0.3878  0.1842  0.0000 x3
Ni  0.5523  0.4266  0.5000 x3

Main lines, sorted by position (10° ≤ 2θ ≤ 90°):
2theta, I/Imax, index
26.6, 128, 1 0 1
29.7, 114, 2 1 0
38.6, 1000, 2 1 1
39.2, 103, 2 2 0
40.9, 107, 1 3 0
48.0, 106, 3 1 1
49.5, 174, 0 0 2
52.7, 146, 1 4 0
56.2, 111, 3 2 1
85.3, 111, 2 1 3

---

# Ho3Si7Ni2
Calculated powder diffractogram, Cu Kα, 1.54184 Å. Input: a crystal structure in Alexandria, relaxed with GGA-PBE.

Cell and atoms:
Unit cell a=4.039 b=4.022 c=12.387 alpha=90.00 beta=98.69 gamma=90.00
Space group P2/m (No. 10)
One atom of each set of equivalent atoms:
Ho  0.000  0.000  0.000 x1
Ho  0.308  0.500  0.632 x2
Si  0.141  0.500  0.175 x2
Si  0.226  0.000  0.446 x2
Si  0.410  0.000  0.824 x2
Si  0.500  0.500  0.000 x1
Ni  0.125  0.000  0.260 x2

Main lines, sorted by position (10° ≤ 2θ ≤ 90°):
2theta, I/Imax, index
21.8, 535, 0 0 3
23.3, 710, 0 1 1
24.7, 410, 1 0 -2
31.6, 856, 1 1 -1
36.3, 856, 1 1 2
36.6, 1000, 1 1 -3
36.9, 939, 0 1 4
44.9, 490, 2 0 -1
45.1, 500, 0 2 0
65.5, 332, 2 2 -1

---

# Sm3Ho2Ni2
Calculated powder diffractogram, Cu Kα, 1.54184 Å. Input: a crystal structure in Alexandria, relaxed with GGA-PBE.

Cell and atoms:
Unit cell a=3.678 b=6.327 c=8.653 alpha=71.57 beta=77.82 gamma=73.18
Space group P-1 (No. 2)
One atom of each set of equivalent atoms:
Sm  0.000  0.000  0.000 x1
Sm  0.114  0.202  0.569 x2
Ho  0.332  0.527  0.811 x2
Ni  0.328  0.113  0.231 x2

Main lines, sorted by position (10° ≤ 2θ ≤ 90°):
2theta, I/Imax, index
29.2, 511, 1 0 -1
29.6, 562, 0 2 1
30.0, 734, 0 1 -2
31.5, 811, 1 0 2
32.4, 911, 0 1 3
33.0, 1000, 1 -1 0
34.5, 509, -1 1 1
35.1, 677, 1 2 0
36.1, 482, 1 0 -2
59.0, 528, -1 3 1

---

# Sm2Ho5Ni2
Calculated powder diffractogram, Cu Kα, 1.54184 Å. Input: a crystal structure in Alexandria, relaxed with GGA-PBE.

Cell and atoms:
Unit cell a=20.073 b=6.968 c=6.946 alpha=90.00 beta=90.00 gamma=90.00
Space group Cmce (No. 64)
One atom of each set of equivalent atoms:
Sm  0.231  0.000  0.000 x8
Ho  0.000  0.000  0.000 x4
Ho  0.107  0.177  0.326 x16
Ni  0.000  0.122  0.621 x8

Main lines, sorted by position (10° ≤ 2θ ≤ 90°):
2theta, I/Imax, index
28.7, 452, 5 1 1
29.1, 157, 1 1 2
31.3, 1000, 4 2 0
33.9, 341, 4 2 1
35.8, 222, 8 0 0
36.5, 589, 0 2 2
41.2, 187, 1 3 1
41.3, 180, 1 1 3
59.0, 321, 9 3 1
61.0, 195, 5 3 3

---

# Ho4Ni2Sn
Calculated powder diffractogram, Cu Kα, 1.54184 Å. Input: a crystal structure in Alexandria, relaxed with GGA-PBE.

Cell and atoms:
Unit cell a=8.402 b=14.925 c=6.709 alpha=90.00 beta=128.25 gamma=90.00
Space group Cc (No. 9)
One atom of each set of equivalent atoms:
Ho  0.000  0.007  0.000 x4
Ho  0.258  0.289  0.218 x4
Ho  0.411  0.284  0.841 x4
Ho  0.485  0.079  0.161 x4
Ni  0.116  0.163  0.818 x4
Ni  0.195  0.419  0.482 x4
Sn  0.331  0.115  0.528 x4

Main lines, sorted by position (10° ≤ 2θ ≤ 90°):
2theta, I/Imax, index
28.3, 235, 1 1 -2
29.3, 210, 0 4 1
29.6, 246, 2 2 0
32.9, 1000, 1 5 0
33.1, 283, 1 3 -2
33.6, 327, 3 1 -1
33.7, 346, 3 1 -2
36.2, 283, 0 2 2
36.5, 468, 2 4 -2
42.1, 207, 2 2 1

---

# Ho7Ni2Sn2
Calculated powder diffractogram, Cu Kα, 1.54184 Å. Input: a crystal structure in Alexandria, relaxed with GGA-PBE.

Cell and atoms:
Unit cell a=7.945 b=10.959 c=6.924 alpha=90.00 beta=90.00 gamma=90.00
Space group Cmmm (No. 65)
One atom of each set of equivalent atoms:
Ho  0.000  0.000  0.000 x2
Ho  0.000  0.500  0.232 x4
Ho  0.250  0.250  0.244 x8
Ni  0.000  0.290  0.000 x4
Sn  0.182  0.000  0.500 x4

Main lines, sorted by position (10° ≤ 2θ ≤ 90°):
2theta, I/Imax, index
25.9, 262, 2 0 1
27.7, 749, 2 2 0
29.3, 524, 1 1 2
30.5, 303, 0 2 2
32.7, 692, 0 4 0
37.5, 406, 1 3 2
38.2, 1000, 2 2 2
42.1, 219, 0 4 2
45.7, 197, 4 0 0
62.0, 199, 2 6 2

---

# Ho12Ni5Sn
Calculated powder diffractogram, Cu Kα, 1.54184 Å. Input: a crystal structure in Alexandria, relaxed with GGA-PBE.

Cell and atoms:
Unit cell a=9.314 b=9.514 c=9.852 alpha=90.00 beta=90.00 gamma=90.00
Space group Immm (No. 71)
One atom of each set of equivalent atoms:
Ho  0.000  0.191  0.212 x8
Ho  0.195  0.500  0.178 x8
Ho  0.206  0.318  0.500 x8
Ni  0.000  0.000  0.000 x2
Ni  0.000  0.365  0.000 x4
Ni  0.000  0.500  0.376 x4
Sn  0.000  0.000  0.500 x2

Main lines, sorted by position (10° ≤ 2θ ≤ 90°):
2theta, I/Imax, index
29.6, 317, 0 3 1
30.3, 344, 3 1 0
32.5, 1000, 2 2 2
34.7, 631, 2 1 3
35.0, 631, 1 3 2
35.4, 313, 2 3 1
35.7, 337, 3 2 1
56.8, 336, 3 5 0
59.6, 301, 6 0 0
60.6, 342, 5 3 2

---

# HoNi5Sn2
Calculated powder diffractogram, Cu Kα, 1.54184 Å. Input: a crystal structure in Alexandria, relaxed with GGA-PBE.

Cell and atoms:
Unit cell a=4.001 b=5.403 c=11.825 alpha=90.00 beta=90.00 gamma=90.00
Space group Immm (No. 71)
One atom of each set of equivalent atoms:
Ho  0.000  0.000  0.000 x2
Ni  0.000  0.223  0.395 x8
Ni  0.000  0.500  0.000 x2
Sn  0.000  0.500  0.220 x4

Main lines, sorted by position (10° ≤ 2θ ≤ 90°):
2theta, I/Imax, index
28.0, 375, 0 1 3
31.7, 1000, 1 1 2
31.9, 182, 1 0 3
41.0, 974, 1 2 1
44.5, 823, 1 0 5
45.3, 447, 2 0 0
45.5, 635, 0 2 4
66.2, 403, 2 2 4
85.7, 259, 1 2 9
86.5, 203, 1 4 5

---

# HoNi5Sn
Calculated powder diffractogram, Cu Kα, 1.54184 Å. Input: a crystal structure in Alexandria, relaxed with GGA-PBE.

Cell and atoms:
Unit cell a=8.039 b=4.861 c=10.237 alpha=90.00 beta=90.00 gamma=90.00
Space group Pnma (No. 62)
One atom of each set of equivalent atoms:
Ho  0.248  0.250  0.060 x4
Ni  0.050  0.250  0.600 x4
Ni  0.066  0.501  0.809 x8
Ni  0.085  0.750  0.017 x4
Ni  0.188  0.750  0.244 x4
Sn  0.140  0.250  0.361 x4

Main lines, sorted by position (10° ≤ 2θ ≤ 90°):
2theta, I/Imax, index
32.0, 356, 0 1 3
36.9, 483, 1 0 4
37.0, 420, 0 2 0
39.3, 817, 2 1 3
39.4, 1000, 3 1 1
44.4, 368, 2 2 1
46.0, 657, 4 0 1
47.3, 401, 1 2 3
68.2, 505, 4 1 5
73.0, 379, 5 2 2

---

# SrHoNi10
Calculated powder diffractogram, Cu Kα, 1.54184 Å. Input: a crystal structure in Alexandria, relaxed with GGA-PBE.

Cell and atoms:
Unit cell a=3.949 b=4.964 c=8.597 alpha=90.00 beta=90.00 gamma=90.00
Space group Pmmm (No. 47)
One atom of each set of equivalent atoms:
Sr  0.000  0.000  0.000 x1
Ho  0.000  0.500  0.500 x1
Ni  0.000  0.000  0.341 x2
Ni  0.000  0.500  0.177 x2
Ni  0.500  0.000  0.500 x1
Ni  0.500  0.255  0.259 x4
Ni  0.500  0.500  0.000 x1

Main lines, sorted by position (10° ≤ 2θ ≤ 90°):
2theta, I/Imax, index
30.7, 389, 1 1 1
36.2, 286, 0 2 0
42.0, 340, 0 0 4
43.0, 1000, 1 2 0
46.0, 284, 2 0 0
59.9, 130, 2 2 0
64.0, 187, 2 0 4
69.8, 213, 1 3 3
76.8, 156, 0 4 0
83.0, 136, 3 2 0